Calculated powder X-ray diffraction pattern of PrZn2Au9 for a wavelength of 1.5418 Å, from a DFT-relaxed cell (GGA-PBE, Alexandria).

Most intense lines, 10° ≤ 2θ ≤ 90°, low angle first:
Position (°2θ)  I/Imax
21.4  9
35.4  100
38.3  13
41.6  15
41.8  61
43.7  11
63.6  17
71.5  11
75.0  9
85.7  10

Atomic structure:
abc: 8.7817 8.7817 8.7817
angles: 99.67 99.67 131.61
Sites, in units of the cell vectors:
Pr (0.3750, 0.6250, 0.7500)
Pr (0.6250, 0.3750, 0.2500)
Zn (0.0000, 0.0000, 0.0000)
Zn (0.0000, 0.0000, 0.5000)
Zn (0.0000, 0.5000, 0.0000)
Zn (0.5000, 0.0000, 0.5000)
Au (0.1200, 0.5538, 0.3236)
Au (0.1200, 0.7964, 0.5662)
Au (0.1250, 0.8750, 0.2500)
Au (0.2036, 0.2698, 0.3236)
Au (0.2036, 0.8800, 0.9338)
Au (0.2698, 0.2036, 0.8236)
Au (0.2698, 0.4462, 0.0662)
Au (0.4462, 0.2698, 0.5662)
Au (0.4462, 0.8800, 0.1764)
Au (0.5538, 0.1200, 0.8236)
Au (0.5538, 0.7302, 0.4338)
Au (0.7302, 0.5538, 0.9338)
Au (0.7302, 0.7964, 0.1764)
Au (0.7964, 0.1200, 0.0662)
Au (0.7964, 0.7302, 0.6764)
Au (0.8750, 0.1250, 0.7500)
Au (0.8800, 0.2036, 0.4338)
Au (0.8800, 0.4462, 0.6764)